No. 1
Computed X-ray diffraction stick pattern
Compound: Cs2AsPbSe4
Radiation: a wavelength of 1.5418 Å
Structure: a cell relaxed with GGA-PBE
Peak positions follow from Bragg's law for the DFT cell and can differ from measured ones.

Atomic structure:
a b c (Å): 14.6779 12.9654 8.3776
angles (deg): 83.96 61.45 34.58
Fractional coordinates of all 16 atoms:
Cs 0.0575 0.0575 0.6925
Cs 0.3075 0.3075 0.9425
Cs 0.6925 0.6925 0.0575
Cs 0.9425 0.9425 0.3075
As 0.3750 0.3750 0.3750
As 0.6250 0.6250 0.6250
Pb 0.1250 0.1250 0.1250
Pb 0.8750 0.8750 0.8750
Se 0.0120 0.6186 0.5410
Se 0.3284 0.5410 0.6186
Se 0.3814 0.9880 0.6716
Se 0.4590 0.6716 0.9880
Se 0.5410 0.3284 0.0120
Se 0.6186 0.0120 0.3284
Se 0.6716 0.4590 0.3814
Se 0.9880 0.3814 0.4590

Top 6 peaks for 2θ from 10° to 80°, in order of rising 2θ:
two_theta, I (rel.)
13.55, 39.0
22.09, 50.2
24.29, 100.0
28.23, 80.1
28.86, 50.8
34.14, 55.8

=====

No. 2
Computed X-ray diffraction stick pattern
Compound: Cs6As2Pd
Radiation: a wavelength of 1.5418 Å
Structure: a cell relaxed with GGA-PBE
Peak positions follow from Bragg's law for the DFT cell and can differ from measured ones.

Atomic structure:
a b c (Å): 11.6899 11.6899 11.6899
angles (deg): 31.62 31.62 31.62
Fractional coordinates of all 9 atoms:
Cs 0.0815 0.0815 0.0815
Cs 0.1976 0.1976 0.1976
Cs 0.3132 0.3132 0.3132
Cs 0.6868 0.6868 0.6868
Cs 0.8024 0.8024 0.8024
Cs 0.9185 0.9185 0.9185
As 0.4231 0.4231 0.4231
As 0.5769 0.5769 0.5769
Pd 0.5000 0.5000 0.5000

Top 6 peaks for 2θ from 10° to 80°, in order of rising 2θ:
two_theta, I (rel.)
26.84, 42.5
28.01, 100.0
31.39, 30.0
39.18, 15.3
48.85, 16.0
49.57, 20.2

=====

No. 3
Computed X-ray diffraction stick pattern
Compound: Cs2As2Pd
Radiation: a wavelength of 1.5418 Å
Structure: a cell relaxed with GGA-PBE
Peak positions follow from Bragg's law for the DFT cell and can differ from measured ones.

Atomic structure:
a b c (Å): 8.4852 8.4852 6.4307
angles (deg): 90.00 90.00 130.08
Fractional coordinates of all 10 atoms:
Cs 0.0841 0.9159 0.7500
Cs 0.2918 0.7082 0.2500
Cs 0.7082 0.2918 0.7500
Cs 0.9159 0.0841 0.2500
As 0.2296 0.4307 0.7500
As 0.4307 0.2296 0.2500
As 0.5693 0.7704 0.7500
As 0.7704 0.5693 0.2500
Pd 0.5000 0.5000 0.0000
Pd 0.5000 0.5000 0.5000

Top 6 peaks for 2θ from 10° to 80°, in order of rising 2θ:
two_theta, I (rel.)
24.87, 25.3
25.46, 100.0
30.85, 47.0
31.65, 24.8
35.25, 24.5
48.25, 25.4

=====

No. 4
Computed X-ray diffraction stick pattern
Compound: CsAsPdRh
Radiation: a wavelength of 1.5418 Å
Structure: a cell relaxed with GGA-PBE
Peak positions follow from Bragg's law for the DFT cell and can differ from measured ones.

Atomic structure:
a b c (Å): 3.9596 3.9596 13.5237
angles (deg): 90.00 90.00 90.00
Fractional coordinates of all 8 atoms:
Cs 0.2500 0.2500 0.2123
Cs 0.7500 0.7500 0.7877
As 0.2500 0.2500 0.6051
As 0.7500 0.7500 0.3949
Pd 0.2500 0.7500 0.0000
Pd 0.7500 0.2500 0.0000
Rh 0.2500 0.7500 0.5000
Rh 0.7500 0.2500 0.5000

Top 6 peaks for 2θ from 10° to 80°, in order of rising 2θ:
two_theta, I (rel.)
13.09, 39.8
26.08, 39.7
30.04, 43.9
34.68, 100.0
45.83, 41.6
52.09, 30.2

=====

No. 5
Computed X-ray diffraction stick pattern
Compound: Cs3Tl4As2Pd2
Radiation: a wavelength of 1.5418 Å
Structure: a cell relaxed with GGA-PBE
Peak positions follow from Bragg's law for the DFT cell and can differ from measured ones.

Atomic structure:
a b c (Å): 4.8714 4.8714 20.0003
angles (deg): 90.00 90.00 120.00
Fractional coordinates of all 11 atoms:
Cs 0.0000 0.0000 0.0000
Cs 0.0000 0.0000 0.2969
Cs 0.0000 0.0000 0.7031
Tl 0.3333 0.6667 0.4395
Tl 0.3333 0.6667 0.8531
Tl 0.6667 0.3333 0.1469
Tl 0.6667 0.3333 0.5605
As 0.3333 0.6667 0.1434
As 0.6667 0.3333 0.8566
Pd 0.3333 0.6667 0.5797
Pd 0.6667 0.3333 0.4203

Top 6 peaks for 2θ from 10° to 80°, in order of rising 2θ:
two_theta, I (rel.)
22.88, 32.7
24.98, 100.0
27.67, 43.1
31.31, 43.3
36.90, 94.9
49.15, 73.9

=====

No. 6
Computed X-ray diffraction stick pattern
Compound: Cs2PmAsS4
Radiation: a wavelength of 1.5418 Å
Structure: a cell relaxed with GGA-PBE
Peak positions follow from Bragg's law for the DFT cell and can differ from measured ones.

Atomic structure:
a b c (Å): 14.8613 13.3180 8.1688
angles (deg): 83.87 63.00 33.13
Fractional coordinates of all 16 atoms:
Cs 0.0571 0.0571 0.6929
Cs 0.3071 0.3071 0.9429
Cs 0.6929 0.6929 0.0571
Cs 0.9429 0.9429 0.3071
Pm 0.1250 0.1250 0.1250
Pm 0.8750 0.8750 0.8750
As 0.3750 0.3750 0.3750
As 0.6250 0.6250 0.6250
S 0.0030 0.3464 0.4391
S 0.2885 0.5609 0.6536
S 0.3464 0.0030 0.7115
S 0.4391 0.7115 0.0030
S 0.5609 0.2885 0.9970
S 0.6536 0.9970 0.2885
S 0.7115 0.4391 0.3464
S 0.9970 0.6536 0.5609

Top 6 peaks for 2θ from 10° to 80°, in order of rising 2θ:
two_theta, I (rel.)
13.76, 53.0
22.46, 42.7
23.96, 100.0
28.23, 48.7
28.82, 47.1
33.57, 37.9